# Na2CaGa3F12
Theoretical powder XRD pattern, a wavelength of 1.5418 Å. Input: a cell relaxed with PBE.

The 10 most intense peaks (2θ from 15° to 90°), most intense first:
hkl  d_spacing  two_theta  I (rel.)
0 2 1  3.214  27.8  100
2 2 0  1.890  48.2  84
1 1 3  3.145  28.4  77
0 0 3  5.672  15.6  70
0 0 6  2.836  31.5  57
2 0 2  3.054  29.2  56
0 3 3  2.036  44.5  34
2 2 6  1.572  58.7  34
0 1 2  5.188  17.1  27
2 0 8  1.783  51.2  22

Crystal structure
```
data_Na2CaGa3F12
_chemical_formula_sum 'Na6 Ca3 Ga9 F36'
_cell_length_a 7.5576
_cell_length_b 7.5576
_cell_length_c 17.0171
_cell_angle_alpha 90.00
_cell_angle_beta 90.00
_cell_angle_gamma 120.00
_space_group_name_H-M_alt 'R -3 m'
_space_group_IT_number 166
_space_group_name_Hall '-R 3 2"'
loop_
_atom_site_label
_atom_site_type_symbol
_atom_site_fract_x
_atom_site_fract_y
_atom_site_fract_z
Na1 Na 0.0000 0.0000 0.1632
Ca1 Ca 0.0000 0.0000 0.5000
Ga1 Ga 0.0000 0.5000 0.0000
F1 F 0.0093 0.5047 0.8852
F2 F 0.0852 0.5426 0.3260
```

---

# CaCuPH
Theoretical powder XRD pattern, a wavelength of 1.5418 Å. Input: a cell relaxed with PBE.

The 10 most intense peaks (2θ from 15° to 90°), most intense first:
hkl  d_spacing  two_theta  I (rel.)
0 1 1  2.664  33.6  100
1 1 0  2.003  45.3  44
1 1 2  1.442  64.6  26
2 0 1  1.601  57.6  19
0 0 1  4.157  21.4  17
1 2 1  1.251  76.1  16
0 0 2  2.078  43.5  15
1 0 0  3.469  25.7  13
1 1 1  1.804  50.6  10
0 1 3  1.287  73.6  9

Crystal structure
```
data_CaCuPH
_chemical_formula_sum 'Ca1 Cu1 P1 H1'
_cell_length_a 4.0060
_cell_length_b 4.0060
_cell_length_c 4.1568
_cell_angle_alpha 90.00
_cell_angle_beta 90.00
_cell_angle_gamma 120.00
_space_group_name_H-M_alt 'P 3 m 1'
_space_group_IT_number 156
loop_
_space_group_symop_operation_xyz
'x,y,z'
'-y,x-y,z'
'-x+y,-x,z'
'-y,-x,z'
'-x+y,y,z'
'x,x-y,z'
loop_
_atom_site_label
_atom_site_type_symbol
_atom_site_fract_x
_atom_site_fract_y
_atom_site_fract_z
Ca1 Ca 0.0000 0.0000 0.0000
Cu1 Cu 0.6667 0.3333 0.5273
P1 P 0.3333 0.6667 0.4668
H1 H 0.6667 0.3333 0.9218
```

---

# NaNd2PaS6
Theoretical powder XRD pattern, a wavelength of 1.5418 Å. Input: a cell relaxed with PBE.

The 10 most intense peaks (2θ from 15° to 90°), most intense first:
hkl  d_spacing  two_theta  I (rel.)
1 1 0  3.555  25.0  100
2 -1 6  2.352  38.3  95
1 0 4  3.738  23.8  92
1 0 1  5.852  15.1  71
3 0 0  2.052  44.1  55
2 -1 3  3.093  28.9  53
0 1 2  5.152  17.2  51
0 2 4  2.576  34.8  48
3 -1 4  2.086  43.4  47
1 0 10  1.801  50.7  40

Crystal structure
```
data_NaNd2PaS6
_chemical_formula_sum 'Na3 Nd6 Pa3 S18'
_cell_length_a 7.1098
_cell_length_b 7.1098
_cell_length_c 18.8192
_cell_angle_alpha 90.00
_cell_angle_beta 90.00
_cell_angle_gamma 120.00
_space_group_name_H-M_alt 'R 3'
_space_group_IT_number 146
_space_group_name_Hall 'R 3'
loop_
_atom_site_label
_atom_site_type_symbol
_atom_site_fract_x
_atom_site_fract_y
_atom_site_fract_z
Na1 Na 0.0000 0.0000 0.0000
Nd1 Nd 0.0000 0.0000 0.2820
Nd2 Nd 0.0000 0.0000 0.7930
Pa1 Pa 0.0000 0.0000 0.4839
S1 S 0.0119 0.7214 0.3929
S2 S 0.0348 0.3375 0.5562
```

---

# Li2VCuRh
Theoretical powder XRD pattern, a wavelength of 1.5418 Å. Input: a cell relaxed with PBE.

The 10 most intense peaks (2θ from 15° to 90°), most intense first:
hkl  d_spacing  two_theta  I (rel.)
1 1 0  2.798  32.0  100
1 0 0  3.957  22.5  81
1 1 2  1.821  50.1  54
2 0 0  1.978  45.9  42
0 0 2  2.399  37.5  39
2 0 2  1.526  60.7  35
1 0 2  2.051  44.2  27
1 1 1  2.417  37.2  26
0 0 1  4.798  18.5  26
3 1 2  1.109  88.0  20

Crystal structure
```
data_Li2VCuRh
_chemical_formula_sum 'Li2 V1 Cu1 Rh1'
_cell_length_a 3.9565
_cell_length_b 3.9565
_cell_length_c 4.7976
_cell_angle_alpha 90.00
_cell_angle_beta 90.00
_cell_angle_gamma 90.00
_space_group_name_H-M_alt 'P 4/m m m'
_space_group_IT_number 123
_space_group_name_Hall '-P 4 2'
loop_
_atom_site_label
_atom_site_type_symbol
_atom_site_fract_x
_atom_site_fract_y
_atom_site_fract_z
Li1 Li 0.0000 0.5000 0.0000
V1 V 0.0000 0.0000 0.5000
Cu1 Cu 0.5000 0.5000 0.0000
Rh1 Rh 0.5000 0.5000 0.5000
```

---

# RbSmHgBr6
Theoretical powder XRD pattern, a wavelength of 1.5418 Å. Input: a cell relaxed with PBE.

The 10 most intense peaks (2θ from 15° to 90°), most intense first:
hkl  d_spacing  two_theta  I (rel.)
1 1 4  2.664  33.6  100
1 1 2  3.348  26.6  82
1 0 2  4.925  18.0  79
3 0 0  2.152  42.0  41
2 1 2  2.324  38.8  29
2 -1 6  2.099  43.1  29
4 -2 4  1.674  54.8  19
4 -1 2  1.743  52.5  18
4 1 4  1.321  71.4  18
3 0 8  1.426  65.4  17

Crystal structure
```
data_RbSmHgBr6
_chemical_formula_sum 'Rb2 Sm2 Hg2 Br12'
_cell_length_a 7.4535
_cell_length_b 7.4535
_cell_length_c 15.2398
_cell_angle_alpha 90.00
_cell_angle_beta 90.00
_cell_angle_gamma 120.00
_space_group_name_H-M_alt 'P -3 1 c'
_space_group_IT_number 163
_space_group_name_Hall '-P 3 2c'
loop_
_atom_site_label
_atom_site_type_symbol
_atom_site_fract_x
_atom_site_fract_y
_atom_site_fract_z
Rb1 Rb 0.0000 0.0000 0.0000
Sm1 Sm 0.3333 0.6667 0.2500
Hg1 Hg 0.3333 0.6667 0.7500
Br1 Br 0.0008 0.3778 0.6399
```

---

# Pr2TiZnPt2
Theoretical powder XRD pattern, a wavelength of 1.5418 Å. Input: a cell relaxed with PBE.

The 10 most intense peaks (2θ from 15° to 90°), most intense first:
hkl  d_spacing  two_theta  I (rel.)
1 4 1  2.710  33.1  100
2 0 2  2.202  41.0  86
0 0 2  3.224  27.7  63
0 4 2  2.352  38.3  56
2 0 0  3.014  29.6  49
2 4 0  2.266  39.8  48
1 6 1  2.033  44.6  31
1 4 3  1.745  52.4  27
2 4 4  1.313  71.9  27
1 8 1  1.601  57.6  26

Crystal structure
```
data_Pr2TiZnPt2
_chemical_formula_sum 'Pr8 Ti4 Zn4 Pt8'
_cell_length_a 6.0274
_cell_length_b 13.7514
_cell_length_c 6.4487
_cell_angle_alpha 90.00
_cell_angle_beta 90.00
_cell_angle_gamma 90.00
_space_group_name_H-M_alt 'I b a m'
_space_group_IT_number 72
_space_group_name_Hall '-I 2 2c'
loop_
_atom_site_label
_atom_site_type_symbol
_atom_site_fract_x
_atom_site_fract_y
_atom_site_fract_z
Pr1 Pr 0.2265 0.1733 0.0000
Ti1 Ti 0.0000 0.5000 0.2500
Zn1 Zn 0.0000 0.0000 0.2500
Pt1 Pt 0.2330 0.3935 0.0000
```

---

# NaTaAg2Te4
Theoretical powder XRD pattern, a wavelength of 1.5418 Å. Input: a cell relaxed with PBE.

The 10 most intense peaks (2θ from 15° to 90°), most intense first:
hkl  d_spacing  two_theta  I (rel.)
1 1 2  3.774  23.6  100
1 2 1  3.184  28.0  48
2 0 2  2.896  30.9  44
1 2 3  2.496  36.0  44
2 0 4  2.172  41.6  33
1 3 2  2.193  41.2  30
3 2 1  1.906  47.7  29
0 0 2  5.686  15.6  25
2 1 1  2.972  30.1  25
2 1 3  2.390  37.6  22

Crystal structure
```
data_NaTaAg2Te4
_chemical_formula_sum 'Na2 Ta2 Ag4 Te8'
_cell_length_a 6.7305
_cell_length_b 7.6230
_cell_length_c 11.3711
_cell_angle_alpha 90.00
_cell_angle_beta 90.00
_cell_angle_gamma 90.00
_space_group_name_H-M_alt 'I 2 2 2'
_space_group_IT_number 23
loop_
_space_group_symop_operation_xyz
'x,y,z'
'-x,-y,z'
'x,-y,-z'
'-x,y,-z'
'x+1/2,y+1/2,z+1/2'
'-x+1/2,-y+1/2,z+1/2'
'x+1/2,-y+1/2,-z+1/2'
'-x+1/2,y+1/2,-z+1/2'
loop_
_atom_site_label
_atom_site_type_symbol
_atom_site_fract_x
_atom_site_fract_y
_atom_site_fract_z
Na1 Na 0.0000 0.0000 0.0000
Ta1 Ta 0.0000 0.5000 0.0000
Ag1 Ag 0.0000 0.1852 0.5000
Te1 Te 0.1984 0.3007 0.1519
```

---

# AcMg4Rh2
Theoretical powder XRD pattern, a wavelength of 1.5418 Å. Input: a cell relaxed with PBE.

The 10 most intense peaks (2θ from 15° to 90°), most intense first:
hkl  d_spacing  two_theta  I (rel.)
1 1 1  2.989  29.9  100
1 3 1  2.664  33.6  64
1 5 0  2.616  34.3  42
0 6 1  2.335  38.6  36
0 4 1  3.003  29.7  36
1 7 0  2.071  43.7  23
0 0 2  2.176  41.5  23
1 3 0  3.369  26.5  22
1 5 2  1.673  54.9  22
2 6 1  1.571  58.8  21

Crystal structure
```
data_AcMg4Rh2
_chemical_formula_sum 'Ac2 Mg8 Rh4'
_cell_length_a 4.2462
_cell_length_b 16.6012
_cell_length_c 4.3510
_cell_angle_alpha 90.00
_cell_angle_beta 90.00
_cell_angle_gamma 90.00
_space_group_name_H-M_alt 'C m m m'
_space_group_IT_number 65
_space_group_name_Hall '-C 2 2'
loop_
_atom_site_label
_atom_site_type_symbol
_atom_site_fract_x
_atom_site_fract_y
_atom_site_fract_z
Ac1 Ac 0.0000 0.0000 0.0000
Mg1 Mg 0.0000 0.1786 0.5000
Mg2 Mg 0.0000 0.3244 0.0000
Rh1 Rh 0.0000 0.4204 0.5000
```

---

# CsUGaP2O10
Theoretical powder XRD pattern, a wavelength of 1.5418 Å. Input: a cell relaxed with PBE.

The 10 most intense peaks (2θ from 15° to 90°), most intense first:
hkl  d_spacing  two_theta  I (rel.)
2 1 2  3.456  25.8  100
-1 2 1  3.502  25.4  65
0 1 -1  4.723  18.8  55
0 1 2  4.250  20.9  46
1 -1 1  4.455  19.9  42
1 1 -1  3.659  24.3  40
1 0 -2  3.088  28.9  36
0 2 1  4.281  20.7  33
1 2 1  3.980  22.3  33
0 2 2  3.585  24.8  30

Crystal structure
```
data_CsUGaP2O10
_chemical_formula_sum 'Cs2 U2 Ga2 P4 O20'
_cell_length_a 7.9943
_cell_length_b 8.6829
_cell_length_c 9.1154
_cell_angle_alpha 65.98
_cell_angle_beta 69.77
_cell_angle_gamma 83.34
_space_group_name_H-M_alt 'P -1'
_space_group_IT_number 2
loop_
_space_group_symop_operation_xyz
'x,y,z'
'-x,-y,-z'
loop_
_atom_site_label
_atom_site_type_symbol
_atom_site_fract_x
_atom_site_fract_y
_atom_site_fract_z
Cs1 Cs 0.1709 0.2054 0.4714
U1 U 0.2857 0.5773 0.6662
Ga1 Ga 0.2531 0.9242 0.0144
P1 P 0.0237 0.2352 0.0559
P2 P 0.4569 0.8250 0.2844
O1 O 0.0602 0.7252 0.7844
O2 O 0.0943 0.0515 0.1189
O3 O 0.1187 0.7587 0.0277
O4 O 0.1343 0.5105 0.5919
O5 O 0.1768 0.3611 0.9252
O6 O 0.3023 0.8547 0.4259
O7 O 0.3876 0.0424 0.7900
O8 O 0.4045 0.8230 0.1366
O9 O 0.4447 0.6485 0.7289
O10 O 0.4766 0.3524 0.6242
```